LiI3F: calculated powder diffractogram (a wavelength of 1.5418 Å), based on a cell relaxed with GGA-PBE.

Principal peaks in the range 2θ from 5° to 70°, in order of rising 2θ:
| 2θ (°) | I (rel.) |
| --- | --- |
| 16.72 | 23 |
| 23.73 | 16 |
| 29.17 | 100 |
| 33.81 | 53 |
| 37.94 | 12 |
| 41.73 | 7 |
| 48.56 | 37 |
| 51.72 | 6 |
| 54.74 | 3 |
| 57.66 | 42 |
| 60.48 | 13 |
| 65.91 | 4 |

Atomic structure:
```
5
Lattice="5.3025 0.0000 0.0000 0.0000 5.3025 0.0000 0.0000 0.0000 5.3025" Properties=species:S:1:pos:R:3 pbc="T T T"
Li 0.0000 0.0000 0.0000
I 0.0000 0.0000 2.6512
I 0.0000 2.6512 0.0000
I 2.6512 0.0000 0.0000
F 2.6512 2.6512 2.6512
```